# V2Co3Pt3
Calculated XRD peak list, Cu Kα. Input: a structure optimized by DFT (PBE).
Peak positions follow from Bragg's law for the DFT cell and can differ from measured ones.

Most intense lines, 5° ≤ 2θ ≤ 70°, by angle:
2θ/deg, I (rel.)
11.9, 6
23.8, 25
26.5, 5
33.9, 20
35.9, 5
41.8, 100
48.3, 17
48.6, 16
49.0, 15
54.5, 6
55.2, 6
60.6, 8

Atomic structure:
a = 3.7443 Å, b = 3.7679 Å, c = 7.4298 Å
α = 90.00°, β = 90.00°, γ = 90.00°
Fractional positions:
V 0.0000 0.0000 0.2359
V 0.0000 0.0000 0.7641
Co 0.0000 0.5000 0.0000
Co 0.0000 0.5000 0.5000
Co 0.5000 0.0000 0.0000
Pt 0.5000 0.0000 0.5000
Pt 0.5000 0.5000 0.2405
Pt 0.5000 0.5000 0.7595

# La5Pm2Nd2
Calculated XRD peak list, Cu Kα. Input: a structure optimized by DFT (PBE).
Peak positions follow from Bragg's law for the DFT cell and can differ from measured ones.

Most intense lines, 5° ≤ 2θ ≤ 70°, by angle:
2θ/deg, I (rel.)
28.8, 63
31.4, 100
41.2, 24
48.6, 7
52.7, 46
57.5, 18
59.7, 8
65.6, 12
67.7, 11
69.1, 10

Atomic structure:
a = 4.3792 Å, b = 4.3792 Å, c = 17.1412 Å
α = 97.29°, β = 97.29°, γ = 89.98°
Fractional positions:
La 0.0000 0.0000 0.0000
La 0.2205 0.2205 0.4408
La 0.4448 0.4448 0.8907
La 0.5552 0.5552 0.1093
La 0.7795 0.7795 0.5592
Pm 0.3341 0.3341 0.6685
Pm 0.6659 0.6659 0.3315
Nd 0.1125 0.1125 0.2247
Nd 0.8875 0.8875 0.7753

# Ho4AlAu2
Calculated XRD peak list, Cu Kα. Input: a structure optimized by DFT (PBE).
Peak positions follow from Bragg's law for the DFT cell and can differ from measured ones.

Most intense lines, 5° ≤ 2θ ≤ 70°, by angle:
2θ/deg, I (rel.)
19.8, 14
21.1, 14
24.7, 47
31.3, 55
36.5, 100
39.6, 41
42.6, 18
48.8, 17
54.9, 16
62.5, 28
65.7, 18
67.8, 17

Atomic structure:
a = 9.4200 Å, b = 9.4200 Å, c = 9.4200 Å
α = 30.30°, β = 30.30°, γ = 30.30°
Fractional positions:
Ho 0.1223 0.1223 0.1223
Ho 0.2932 0.2932 0.2932
Ho 0.7068 0.7068 0.7068
Ho 0.8777 0.8777 0.8777
Al 0.5000 0.5000 0.5000
Au 0.4026 0.4026 0.4026
Au 0.5974 0.5974 0.5974